This entry pairs a crystal structure of Mg2TaFeO6 with its theoretical X-ray powder pattern. Radiation: λ = 1.5418 Å (Cu Kα). Structure: DFT lattice parameters and positions (PBE+U).

Largest 10 diffraction maxima, in order of falling intensity, 5° ≤ 2θ ≤ 70°:
d = 2.674 Å, rel. 100
d = 2.665 Å, rel. 100
d = 3.803 Å, rel. 74
d = 3.761 Å, rel. 72
d = 3.735 Å, rel. 71
d = 5.402 Å, rel. 59
d = 5.205 Å, rel. 56
d = 2.701 Å, rel. 52
d = 1.555 Å, rel. 47
d = 2.602 Å, rel. 43

Structural model:
```
Mg2TaFeO6
1.0
5.205 0.000 0.000
0.000 7.606 0.000
-0.038 0.000 5.402
Mg Ta Fe O
4 2 2 12
Direct
0.003 0.250 0.462
0.490 0.750 0.064
0.510 0.250 0.936
0.997 0.750 0.538
0.000 0.000 0.000
0.000 0.500 0.000
0.500 0.000 0.500
0.500 0.500 0.500
0.130 0.250 0.063
0.171 0.567 0.314
0.171 0.933 0.314
0.317 0.567 0.823
0.317 0.933 0.823
0.375 0.250 0.571
0.625 0.750 0.429
0.683 0.067 0.177
0.683 0.433 0.177
0.829 0.067 0.686
0.829 0.433 0.686
0.870 0.750 0.937
```